Structure and simulated PXRD pattern of Nd2In3Ni (a DFT-relaxed cell (GGA-PBE, Alexandria); CuKα).

Peak list (10 most intense, 10° ≤ 2θ ≤ 90°, sorted by position)
hkl 2 2 2, 32.05 deg, 2.793 Å, rel. 100
hkl 0 2 6, 37.25 deg, 2.414 Å, rel. 44
hkl 0 4 0, 37.41 deg, 2.404 Å, rel. 21
hkl 4 0 0, 48.45 deg, 1.879 Å, rel. 10
hkl 2 0 8, 49.87 deg, 1.829 Å, rel. 9
hkl 2 4 4, 50.04 deg, 1.823 Å, rel. 18
hkl 4 2 6, 62.66 deg, 1.483 Å, rel. 18
hkl 4 4 0, 62.77 deg, 1.480 Å, rel. 9
hkl 2 2 10, 63.87 deg, 1.457 Å, rel. 9
hkl 2 4 8, 63.97 deg, 1.455 Å, rel. 9

Cell and atoms:
```
data_Nd2In3Ni
_space_group_name_H-M_alt 'F m m m'
_space_group_IT_number 69
_space_group_name_Hall '-F 2 2'
_cell_length_a 7.5157
_cell_length_b 9.6157
_cell_length_c 16.7441
_cell_angle_alpha 90.00
_cell_angle_beta 90.00
_cell_angle_gamma 90.00
loop_
_atom_site_label
_atom_site_type_symbol
_atom_site_fract_x
_atom_site_fract_y
_atom_site_fract_z
Nd1 Nd 0.2480 0.0000 0.0000
Nd2 Nd 0.2500 0.2500 0.2500
In1 In 0.0000 0.0000 0.3262
In2 In 0.0000 0.2362 0.0876
Ni1 Ni 0.0000 0.0000 0.1692
```


Structure and simulated PXRD pattern of Nd2BrCl4 (a DFT-relaxed cell (GGA-PBE, Alexandria); CuKα).

Peak list (10 most intense, 10° ≤ 2θ ≤ 90°, sorted by position)
hkl 0 0 6, 17.88 deg, 4.960 Å, rel. 29
hkl 1 0 1, 21.15 deg, 4.200 Å, rel. 100
hkl 0 1 2, 21.78 deg, 4.080 Å, rel. 29
hkl 1 0 4, 24.15 deg, 3.685 Å, rel. 25
hkl 1 1 0, 36.69 deg, 2.449 Å, rel. 82
hkl 1 0 10, 36.89 deg, 2.436 Å, rel. 73
hkl 0 1 11, 39.51 deg, 2.281 Å, rel. 25
hkl 1 1 9, 46.12 deg, 1.968 Å, rel. 25
hkl 0 2 10, 53.01 deg, 1.727 Å, rel. 25
hkl 2 1 10, 66.20 deg, 1.412 Å, rel. 25

Cell and atoms:
```
data_Nd2BrCl4
_space_group_name_H-M_alt 'R -3 m'
_space_group_IT_number 166
_space_group_name_Hall '-R 3 2"'
_cell_length_a 4.8989
_cell_length_b 4.8989
_cell_length_c 29.7592
_cell_angle_alpha 90.00
_cell_angle_beta 90.00
_cell_angle_gamma 120.00
loop_
_atom_site_label
_atom_site_type_symbol
_atom_site_fract_x
_atom_site_fract_y
_atom_site_fract_z
Nd1 Nd 0.0000 0.0000 0.0968
Br1 Br 0.0000 0.0000 0.0000
Cl1 Cl 0.0000 0.0000 0.1975
Cl2 Cl 0.0000 0.0000 0.4119
```


Structure and simulated PXRD pattern of KPt2Rh (a DFT-relaxed cell (GGA-PBE, Alexandria); CuKα).

Peak list (10 most intense, 10° ≤ 2θ ≤ 90°, sorted by position)
hkl 0 0 1, 12.67 deg, 6.985 Å, rel. 100
hkl 2 0 0, 20.34 deg, 4.365 Å, rel. 27
hkl 2 0 -2, 31.33 deg, 2.855 Å, rel. 27
hkl 2 0 2, 34.29 deg, 2.615 Å, rel. 12
hkl 1 1 1, 36.92 deg, 2.435 Å, rel. 51
hkl 4 0 0, 41.37 deg, 2.183 Å, rel. 23
hkl 2 0 -3, 42.32 deg, 2.136 Å, rel. 18
hkl 1 1 2, 43.71 deg, 2.071 Å, rel. 25
hkl 2 0 3, 45.78 deg, 1.982 Å, rel. 13
hkl 3 1 -1, 46.47 deg, 1.954 Å, rel. 32

Cell and atoms:
```
data_KPt2Rh
_space_group_name_H-M_alt 'C 1 2/m 1'
_space_group_IT_number 12
_cell_length_a 8.7656
_cell_length_b 2.7508
_cell_length_c 7.0134
_cell_angle_alpha 90.00
_cell_angle_beta 95.15
_cell_angle_gamma 90.00
loop_
_space_group_symop_operation_xyz
'x,y,z'
'-x,-y,-z'
'-x,y,-z'
'x,-y,z'
'x+1/2,y+1/2,z'
'-x+1/2,-y+1/2,-z'
'-x+1/2,y+1/2,-z'
'x+1/2,-y+1/2,z'
loop_
_atom_site_label
_atom_site_type_symbol
_atom_site_fract_x
_atom_site_fract_y
_atom_site_fract_z
K1 K 0.0000 0.0000 0.0000
Pt1 Pt 0.2392 0.0000 0.6669
Rh1 Rh 0.0000 0.5000 0.5000
```


Structure and simulated PXRD pattern of LiCa3Hg7 (a DFT-relaxed cell (GGA-PBE, Alexandria); CuKα).

Peak list (10 most intense, 10° ≤ 2θ ≤ 90°, sorted by position)
hkl 1 1 0, 24.28 deg, 3.666 Å, rel. 100
hkl 0 2 4, 28.96 deg, 3.083 Å, rel. 34
hkl 0 6 3, 30.14 deg, 2.965 Å, rel. 57
hkl 1 5 2, 33.29 deg, 2.691 Å, rel. 38
hkl 1 3 3, 33.89 deg, 2.645 Å, rel. 35
hkl 0 8 3, 35.87 deg, 2.504 Å, rel. 29
hkl 0 2 5, 36.01 deg, 2.494 Å, rel. 39
hkl 1 7 2, 37.86 deg, 2.376 Å, rel. 30
hkl 1 1 5, 43.27 deg, 2.091 Å, rel. 49
hkl 1 9 3, 46.29 deg, 1.961 Å, rel. 29

Cell and atoms:
```
data_LiCa3Hg7
_space_group_name_H-M_alt 'C m c m'
_space_group_IT_number 63
_space_group_name_Hall '-C 2c 2'
_cell_length_a 3.7066
_cell_length_b 24.8089
_cell_length_c 12.7310
_cell_angle_alpha 90.00
_cell_angle_beta 90.00
_cell_angle_gamma 90.00
loop_
_atom_site_label
_atom_site_type_symbol
_atom_site_fract_x
_atom_site_fract_y
_atom_site_fract_z
Li1 Li 0.0000 0.0651 0.2500
Ca1 Ca 0.0000 0.0930 0.5627
Ca2 Ca 0.0000 0.2235 0.2500
Hg1 Hg 0.0000 0.2937 0.0437
Hg2 Hg 0.0000 0.3584 0.2500
Hg3 Hg 0.0000 0.3677 0.6357
Hg4 Hg 0.0000 0.4909 0.6200
```